Structure and theoretical powder X-ray diffraction pattern of BaMnH5 (a cell relaxed with GGA-PBE; λ = 1.5418 Å (Cu Kα)).

Main lines, in order of rising 2θ (10 to 80 degrees two-theta):
2θ (°)  I_rel
18.15  251
25.77  795
30.64  1000
35.84  103
36.77  279
48.59  498
52.98  97
57.25  162
59.82  124
62.45  107
63.80  109
74.71  121

a b c (Å): 10.037 6.910 6.917
angles (deg): 90.00 133.56 90.00
Space group C2/c (No. 15)
Unique sites:
Ba1 0.000 0.226 0.250 (multiplicity 4)
Mn1 0.250 0.250 0.000 (multiplicity 4)
H1 0.000 0.223 0.750 (multiplicity 4)
H2 0.230 0.487 0.979 (multiplicity 8)
H3 0.250 0.249 0.763 (multiplicity 8)

Structure and theoretical powder X-ray diffraction pattern of BaMn2H8 (a cell relaxed with GGA-PBE; λ = 1.5418 Å (Cu Kα)).

Main lines, in order of rising 2θ (10 to 80 degrees two-theta):
2θ (°)  I_rel
21.78  130
27.84  1000
34.68  153
38.20  357
41.32  59
47.92  217
52.54  272
58.06  121
62.87  189
69.04  60
71.65  67
79.63  78

a b c (Å): 4.7124 4.7124 5.1737
angles (deg): 90.00 90.00 120.00
Space group P31m (No. 157)
Unique sites:
Ba1 0.0000 0.0000 0.0000 (multiplicity 1)
Mn1 0.3333 0.6667 0.5019 (multiplicity 2)
H1 0.0000 0.4549 0.7105 (multiplicity 3)
H2 0.0000 0.6952 0.4215 (multiplicity 3)
H3 0.3333 0.6667 0.1878 (multiplicity 2)

Structure and theoretical powder X-ray diffraction pattern of BaMnH2N (a cell relaxed with GGA-PBE; λ = 1.5418 Å (Cu Kα)).

Main lines, in order of rising 2θ (10 to 80 degrees two-theta):
2θ (°)  I_rel
21.96  157
24.14  133
31.25  748
32.86  1000
39.87  160
44.77  279
49.45  102
56.64  416
59.66  220
68.90  145
74.05  114
74.94  91

a b c (Å): 4.048 4.048 3.686
angles (deg): 90.00 90.00 90.00
Space group P4/mmm (No. 123)
Unique sites:
Ba1 0.000 0.000 0.000 (multiplicity 1)
Mn1 0.500 0.500 0.500 (multiplicity 1)
H1 0.000 0.500 0.500 (multiplicity 2)
N1 0.500 0.500 0.000 (multiplicity 1)

Structure and theoretical powder X-ray diffraction pattern of RbBaMnH6 (a cell relaxed with GGA-PBE; λ = 1.5418 Å (Cu Kα)).

Main lines, in order of rising 2θ (10 to 80 degrees two-theta):
2θ (°)  I_rel
14.21  181
23.85  1000
28.65  209
33.32  427
36.39  90
41.43  156
44.51  380
47.96  150
54.10  136
59.64  126
69.77  97
70.11  81

a b c (Å): 6.231 5.367 9.332
angles (deg): 90.00 90.00 90.00
Space group Amm2 (No. 38)
Unique sites:
Rb1 0.000 0.000 0.000 (multiplicity 2)
Ba1 0.500 0.000 0.667 (multiplicity 2)
Mn1 0.500 0.000 0.335 (multiplicity 2)
H1 0.334 0.000 0.198 (multiplicity 4)
H2 0.335 0.206 0.403 (multiplicity 8)

Structure and theoretical powder X-ray diffraction pattern of Ba4H6N (a cell relaxed with GGA-PBE; λ = 1.5418 Å (Cu Kα)).

Main lines, in order of rising 2θ (10 to 80 degrees two-theta):
2θ (°)  I_rel
24.26  1000
27.70  129
28.27  332
39.99  230
40.40  147
46.96  88
47.68  314
49.69  103
63.64  70
64.23  64
73.20  93
78.68  71

a b c (Å): 8.930 8.930 6.440
angles (deg): 90.00 90.00 90.00
Space group P4_2/nmc (No. 137, origin choice 2)
Unique sites:
Ba1 0.007 0.250 0.042 (multiplicity 8)
H1 0.027 0.527 0.250 (multiplicity 8)
H2 0.250 0.250 0.285 (multiplicity 4)
N1 0.250 0.750 0.750 (multiplicity 2)

Structure and theoretical powder X-ray diffraction pattern of BaNaP3H3N3O6 (a cell relaxed with GGA-PBE; λ = 1.5418 Å (Cu Kα)).

Main lines, in order of rising 2θ (10 to 80 degrees two-theta):
2θ (°)  I_rel
12.31  964
16.96  874
24.58  447
25.74  1000
25.88  769
27.13  529
28.13  366
28.79  568
28.90  870
31.48  621
41.84  526
43.42  408

a b c (Å): 11.007 10.456 8.058
angles (deg): 90.00 115.98 90.00
Space group C2/m (No. 12)
Unique sites:
Ba1 0.067 0.000 0.304 (multiplicity 4)
Na1 0.000 0.321 0.500 (multiplicity 4)
P1 0.199 0.500 0.917 (multiplicity 4)
P2 0.206 0.358 0.242 (multiplicity 8)
H1 0.067 0.500 0.294 (multiplicity 4)
H2 0.079 0.320 0.928 (multiplicity 8)
N1 0.161 0.372 0.014 (multiplicity 8)
N2 0.166 0.500 0.311 (multiplicity 4)
O1 0.104 0.500 0.712 (multiplicity 4)
O2 0.117 0.258 0.267 (multiplicity 8)
O3 0.141 0.150 0.655 (multiplicity 8)
O4 0.151 0.000 0.028 (multiplicity 4)

Structure and theoretical powder X-ray diffraction pattern of Ba5H2OsN4 (a cell relaxed with GGA-PBE; λ = 1.5418 Å (Cu Kα)).

Main lines, in order of rising 2θ (10 to 80 degrees two-theta):
2θ (°)  I_rel
11.37  166
27.00  554
27.95  960
28.61  523
29.00  1000
39.74  497
48.29  203
48.96  232
50.36  160
51.56  267
54.74  156
55.89  260

a b c (Å): 7.785 10.442 6.604
angles (deg): 90.00 90.00 90.00
Space group Amm2 (No. 38)
Unique sites:
Ba1 0.000 0.000 0.000 (multiplicity 2)
Ba2 0.271 0.176 0.478 (multiplicity 8)
H1 0.000 0.231 0.749 (multiplicity 4)
Os1 0.500 0.000 0.980 (multiplicity 2)
N1 0.321 0.000 0.181 (multiplicity 4)
N2 0.500 0.146 0.821 (multiplicity 4)

Structure and theoretical powder X-ray diffraction pattern of Ba3Pa2H2N5 (a cell relaxed with GGA-PBE; λ = 1.5418 Å (Cu Kα)).

Main lines, in order of rising 2θ (10 to 80 degrees two-theta):
2θ (°)  I_rel
14.92  137
27.56  1000
28.56  516
33.29  160
40.83  254
48.11  123
49.97  400
53.66  85
54.90  110
56.91  99
66.44  87
66.95  97

a b c (Å): 4.420 4.420 23.754
angles (deg): 90.00 90.00 90.00
Space group I4/mmm (No. 139)
Unique sites:
Ba1 0.000 0.000 0.000 (multiplicity 2)
Ba2 0.000 0.000 0.179 (multiplicity 4)
Pa1 0.000 0.000 0.407 (multiplicity 4)
H1 0.000 0.000 0.300 (multiplicity 4)
N1 0.000 0.000 0.500 (multiplicity 2)
N2 0.000 0.500 0.106 (multiplicity 8)

Structure and theoretical powder X-ray diffraction pattern of Ba5PuH2N4 (a cell relaxed with GGA-PBE; λ = 1.5418 Å (Cu Kα)).

Main lines, in order of rising 2θ (10 to 80 degrees two-theta):
2θ (°)  I_rel
11.06  208
15.78  85
27.37  1000
27.54  377
27.82  720
39.21  366
48.37  160
48.64  155
48.85  102
49.14  218
54.06  168
64.50  98

a b c (Å): 7.997 11.048 6.521
angles (deg): 90.00 90.00 90.00
Space group Amm2 (No. 38)
Unique sites:
Ba1 0.000 0.000 0.000 (multiplicity 2)
Ba2 0.280 0.178 0.482 (multiplicity 8)
Pu1 0.500 0.000 0.000 (multiplicity 2)
H1 0.000 0.211 0.755 (multiplicity 4)
N1 0.281 0.000 0.202 (multiplicity 4)
N2 0.500 0.163 0.808 (multiplicity 4)

Structure and theoretical powder X-ray diffraction pattern of Ba5TiH2N4 (a cell relaxed with GGA-PBE; λ = 1.5418 Å (Cu Kα)).

Main lines, in order of rising 2θ (10 to 80 degrees two-theta):
2θ (°)  I_rel
19.72  122
22.41  140
27.75  1000
28.37  382
29.43  786
37.30  165
40.06  380
45.48  164
49.04  115
50.07  175
51.90  222
55.32  142

a b c (Å): 7.936 10.324 6.442
angles (deg): 90.00 90.00 90.00
Space group Amm2 (No. 38)
Unique sites:
Ba1 0.000 0.000 0.000 (multiplicity 2)
Ba2 0.284 0.181 0.488 (multiplicity 8)
Ti1 0.500 0.000 0.008 (multiplicity 2)
H1 0.000 0.222 0.746 (multiplicity 4)
N1 0.295 0.000 0.185 (multiplicity 4)
N2 0.500 0.154 0.826 (multiplicity 4)

Structure and theoretical powder X-ray diffraction pattern of BaNa2H4 (a cell relaxed with GGA-PBE; λ = 1.5418 Å (Cu Kα)).

Main lines, in order of rising 2θ (10 to 80 degrees two-theta):
2θ (°)  I_rel
16.02  505
17.66  1000
25.13  190
26.41  569
28.93  767
29.95  747
31.75  255
34.84  595
41.41  224
50.06  244
54.00  194
57.73  211

a b c (Å): 3.733 11.274 11.063
angles (deg): 90.00 90.00 90.00
Space group Cmcm (No. 63)
Unique sites:
Ba1 0.000 0.104 0.250 (multiplicity 4)
Na1 0.000 0.366 0.064 (multiplicity 8)
H1 0.000 0.000 0.000 (multiplicity 4)
H2 0.000 0.284 0.618 (multiplicity 8)
H3 0.000 0.439 0.250 (multiplicity 4)